Record 1
Starting from a PBE-relaxed structure, the powder diffraction line list of Bi2Sb2Pd was calculated for Cu Kα (λ = 1.5418 Å).

Atomic structure:
```
Bi2Sb2Pd
1.0
-2.3136 2.3136 13.0896
2.3136 -2.3136 13.0896
2.3136 2.3136 -13.0896
Bi Sb Pd
4 4 2
Cartesian
2.3136 1.1568 -5.0563 Bi
0.0000 1.1568 1.4885 Bi
2.3136 1.1568 11.6011 Bi
0.0000 1.1568 18.1459 Bi
2.3136 1.1568 -1.5998 Sb
0.0000 1.1568 4.9450 Sb
2.3136 1.1568 8.1446 Sb
0.0000 1.1568 14.6894 Sb
2.3136 -1.1568 9.8172 Pd
0.0000 3.4704 3.2724 Pd
```

Largest 10 diffraction maxima, most intense first, 15° ≤ 2θ ≤ 90°:
2θ/deg  Rel. int.
34.26  100
38.93  51
28.11  45
27.25  31
67.52  28
48.17  27
56.23  25
44.31  23
19.48  17
83.58  16

---

Record 2
Starting from a PBE-relaxed structure, the powder diffraction line list of Bi2Sb2Pd5 was calculated for Cu Kα (λ = 1.5418 Å).

Atomic structure:
```
Bi2Sb2Pd5
1.0
6.3880 -2.3707 0.0000
6.3880 2.3707 0.0000
-4.6787 0.0000 6.7560
Bi Sb Pd
2 2 5
Cartesian
-0.2482 0.0000 2.7562 Bi
8.3456 0.0000 3.9998 Bi
4.2700 0.0000 0.6663 Sb
3.8274 0.0000 6.0897 Sb
-1.7507 0.0000 5.0423 Pd
1.2239 0.0000 5.3301 Pd
4.0487 0.0000 3.3780 Pd
6.8735 0.0000 1.4259 Pd
9.8480 0.0000 1.7137 Pd
```

Largest 10 diffraction maxima, most intense first, 15° ≤ 2θ ≤ 90°:
2θ/deg  Rel. int.
37.98  100
40.61  89
21.68  79
34.15  59
43.16  54
28.20  53
51.97  36
39.92  32
69.21  21
70.35  17

---

Record 3
Starting from a PBE-relaxed structure, the powder diffraction line list of BiSb2Pd3 was calculated for Cu Kα (λ = 1.5418 Å).

Atomic structure:
```
BiSb2Pd3
1.0
6.6194 -4.2290 0.0000
6.6194 4.2290 0.0000
0.0000 0.0000 5.2669
Bi Sb Pd
2 4 6
Cartesian
6.6194 3.1866 2.6335 Bi
6.6194 -3.1866 0.0000 Bi
4.5558 0.9757 4.3603 Sb
4.5558 -0.9757 1.7269 Sb
8.6830 0.9757 4.3603 Sb
8.6830 -0.9757 1.7269 Sb
4.2232 1.7781 1.7429 Pd
6.6194 2.2525 0.0565 Pd
9.0157 1.7781 1.7429 Pd
4.2232 -1.7781 4.3763 Pd
6.6194 -2.2525 2.6899 Pd
9.0157 -1.7781 4.3763 Pd
```

Largest 10 diffraction maxima, most intense first, 15° ≤ 2θ ≤ 90°:
2θ/deg  Rel. int.
22.73  100
41.71  72
36.75  67
40.90  38
37.87  36
27.04  33
21.00  31
43.94  26
36.37  25
62.76  20

---

Record 4
Starting from a PBE-relaxed structure, the powder diffraction line list of Bi3SbPd8 was calculated for Cu Kα (λ = 1.5418 Å).

Atomic structure:
```
Bi3SbPd8
1.0
4.2595 -4.4168 0.0000
4.2595 4.4168 0.0000
-4.0618 0.0000 6.6765
Bi Sb Pd
3 1 8
Cartesian
0.0000 0.0000 0.0000 Bi
2.5350 2.4071 3.1742 Bi
2.5350 -2.4071 3.1742 Bi
0.7100 0.0000 6.5788 Sb
0.4508 2.1606 5.0211 Pd
-1.6631 0.0000 5.3085 Pd
0.2227 0.0000 3.0896 Pd
4.7292 2.1242 1.3995 Pd
2.6034 0.0000 1.5699 Pd
2.5959 0.0000 4.6183 Pd
0.4508 -2.1606 5.0211 Pd
4.7292 -2.1242 1.3995 Pd
```

Largest 10 diffraction maxima, most intense first, 15° ≤ 2θ ≤ 90°:
2θ/deg  Rel. int.
39.49  100
40.37  88
24.16  51
40.86  47
42.46  39
24.46  35
25.14  32
60.40  24
70.73  20
45.65  17